(1)
Computed XRD peak list of MgCd2Te2Mo2O12 for a wavelength of 1.5418 Å, from a cell relaxed with GGA+U.
Peak positions follow from Bragg's law for the DFT cell and can differ from measured ones.

Structure:
abc: 5.2120 5.2120 9.4094
angles: 90.00 90.00 90.29
Positions (direct):
Mg 0.0000 0.0000 0.0000
Cd 0.0000 0.5000 0.8680
Cd 0.5000 0.0000 0.8680
Te 0.0000 0.0000 0.6300
Te 0.5000 0.5000 0.1515
Mo 0.0000 0.0000 0.3026
Mo 0.5000 0.5000 0.5199
O 0.1646 0.1646 0.7974
O 0.1948 0.1948 0.1480
O 0.2430 0.7570 0.3527
O 0.2559 0.2559 0.4653
O 0.2941 0.7059 0.6599
O 0.3061 0.6939 0.0081
O 0.6939 0.3061 0.0081
O 0.7059 0.2941 0.6599
O 0.7441 0.7441 0.4653
O 0.7570 0.2430 0.3527
O 0.8052 0.8052 0.1480
O 0.8354 0.8354 0.7974

Peak list (10 most intense, 10° ≤ 2θ ≤ 90°, in order of falling intensity)
2θ 30.82, d = 2.901 Å, I 100
2θ 33.34, d = 2.687 Å, I 65
2θ 25.91, d = 3.439 Å, I 57
2θ 34.41, d = 2.606 Å, I 57
2θ 26.02, d = 3.424 Å, I 54
2θ 48.74, d = 1.868 Å, I 32
2θ 48.60, d = 1.873 Å, I 30
2θ 45.24, d = 2.004 Å, I 26
2θ 25.51, d = 3.492 Å, I 24
2θ 49.33, d = 1.847 Å, I 24

***

(2)
Computed XRD peak list of Li2Fe4Si4O13 for a wavelength of 1.5418 Å, from a cell relaxed with GGA+U.
Peak positions follow from Bragg's law for the DFT cell and can differ from measured ones.

Structure:
abc: 6.9220 7.9202 10.2228
angles: 110.32 90.38 100.87
Positions (direct):
Li 0.2220 0.4003 0.3802
Li 0.2501 0.4197 0.9159
Li 0.7499 0.5803 0.0841
Li 0.7780 0.5997 0.6198
Fe 0.0781 0.8053 0.8930
Fe 0.0825 0.8102 0.5010
Fe 0.4238 0.1908 0.1144
Fe 0.4281 0.1931 0.4946
Fe 0.5719 0.8069 0.5054
Fe 0.5762 0.8092 0.8856
Fe 0.9175 0.1898 0.4990
Fe 0.9219 0.1947 0.1070
Si 0.0757 0.9092 0.2221
Si 0.2687 0.5822 0.6757
Si 0.2832 0.6005 0.2061
Si 0.3737 0.0995 0.7782
Si 0.6263 0.9005 0.2218
Si 0.7168 0.3995 0.7939
Si 0.7313 0.4178 0.3243
Si 0.9243 0.0908 0.7779
O 0.0927 0.6910 0.6538
O 0.1295 0.0267 0.1183
O 0.1373 0.7080 0.1498
O 0.1380 0.0052 0.3885
O 0.1611 0.1610 0.7978
O 0.2173 0.3655 0.5681
O 0.2287 0.3810 0.1109
O 0.2615 0.6159 0.8464
O 0.2827 0.6504 0.3737
O 0.3958 0.9991 0.6136
O 0.3970 0.0002 0.8904
O 0.4984 0.6842 0.1605
O 0.5002 0.3249 0.3391
O 0.4998 0.6751 0.6609
O 0.5016 0.3158 0.8395
O 0.6030 0.9998 0.1096
O 0.6042 0.0009 0.3864
O 0.7173 0.3496 0.6263
O 0.7385 0.3841 0.1536
O 0.7713 0.6190 0.8891
O 0.7827 0.6345 0.4319
O 0.8389 0.8390 0.2022
O 0.8620 0.9948 0.6115
O 0.8627 0.2920 0.8502
O 0.8705 0.9733 0.8817
O 0.9073 0.3090 0.3462

Peak list (10 most intense, 10° ≤ 2θ ≤ 90°, in order of falling intensity)
2θ 31.31, d = 2.857 Å, I 100
2θ 32.24, d = 2.777 Å, I 74
2θ 30.03, d = 2.976 Å, I 64
2θ 28.01, d = 3.186 Å, I 58
2θ 12.17, d = 7.272 Å, I 52
2θ 34.53, d = 2.598 Å, I 44
2θ 52.94, d = 1.730 Å, I 40
2θ 35.10, d = 2.557 Å, I 34
2θ 37.24, d = 2.415 Å, I 27
2θ 18.24, d = 4.863 Å, I 27

***

(3)
Computed XRD peak list of MnF2 for a wavelength of 1.5418 Å, from a cell relaxed with GGA+U.
Peak positions follow from Bragg's law for the DFT cell and can differ from measured ones.

Structure:
abc: 5.2840 5.2840 5.2604
angles: 90.00 90.00 90.00
Positions (direct):
Mn 0.0000 0.0000 0.0000
Mn 0.0000 0.5000 0.5000
Mn 0.5000 0.0000 0.5000
Mn 0.5000 0.5000 0.0000
F 0.2181 0.2181 0.7309
F 0.2181 0.7819 0.2691
F 0.2768 0.2768 0.2401
F 0.2768 0.7232 0.7599
F 0.7232 0.2768 0.7599
F 0.7232 0.7232 0.2401
F 0.7819 0.2181 0.2691
F 0.7819 0.7819 0.7309

Peak list (10 most intense, 10° ≤ 2θ ≤ 90°, in order of falling intensity)
2θ 29.32, d = 3.046 Å, I 100
2θ 48.86, d = 1.864 Å, I 57
2θ 48.74, d = 1.868 Å, I 28
2θ 57.90, d = 1.593 Å, I 25
2θ 58.11, d = 1.587 Å, I 13
2θ 79.18, d = 1.210 Å, I 9
2θ 71.41, d = 1.321 Å, I 7
2θ 41.92, d = 2.155 Å, I 5
2θ 79.00, d = 1.212 Å, I 5
2θ 33.93, d = 2.642 Å, I 4

***

(4)
Computed XRD peak list of Li2Ni3O6 for a wavelength of 1.5418 Å, from a cell relaxed with GGA+U.
Peak positions follow from Bragg's law for the DFT cell and can differ from measured ones.

Structure:
abc: 10.1150 4.9543 4.9543
angles: 60.35 90.00 90.00
Positions (direct):
Li 0.2490 0.0932 0.9068
Li 0.2510 0.5932 0.4068
Li 0.7490 0.4068 0.5932
Li 0.7510 0.9068 0.0932
Ni 0.0000 0.2507 0.2507
Ni 0.0000 0.5825 0.5825
Ni 0.0000 0.9127 0.9127
Ni 0.5000 0.0825 0.0825
Ni 0.5000 0.4127 0.4127
Ni 0.5000 0.7507 0.7507
O 0.0933 0.5791 0.9157
O 0.1001 0.8987 0.2510
O 0.1078 0.2805 0.5755
O 0.3922 0.7805 0.0755
O 0.3999 0.3987 0.7510
O 0.4067 0.0791 0.4157
O 0.5933 0.4157 0.0791
O 0.6001 0.7510 0.3987
O 0.6078 0.0755 0.7805
O 0.8922 0.5755 0.2805
O 0.8999 0.2510 0.8987
O 0.9067 0.9157 0.5791

Peak list (10 most intense, 10° ≤ 2θ ≤ 90°, in order of falling intensity)
2θ 17.54, d = 5.058 Å, I 100
2θ 45.43, d = 1.996 Å, I 30
2θ 37.38, d = 2.406 Å, I 30
2θ 58.95, d = 1.567 Å, I 17
2θ 40.37, d = 2.234 Å, I 15
2θ 65.71, d = 1.421 Å, I 14
2θ 51.51, d = 1.774 Å, I 12
2θ 36.07, d = 2.490 Å, I 8
2θ 40.55, d = 2.225 Å, I 6
2θ 35.50, d = 2.529 Å, I 6

***

(5)
Computed XRD peak list of BaV13O18 for a wavelength of 1.5418 Å, from a cell relaxed with GGA+U.
Peak positions follow from Bragg's law for the DFT cell and can differ from measured ones.

Structure:
abc: 7.3829 7.9060 8.0107
angles: 110.93 106.26 108.41
Positions (direct):
Ba 0.0000 0.0000 0.0000
V 0.0846 0.1988 0.5098
V 0.1267 0.6921 0.1955
V 0.2393 0.6410 0.5773
V 0.3449 0.5867 0.9466
V 0.4017 0.0474 0.6294
V 0.4344 0.5067 0.3031
V 0.5026 0.0032 0.9999
V 0.5754 0.4976 0.6923
V 0.6070 0.9594 0.3717
V 0.6573 0.4247 0.0527
V 0.7692 0.3664 0.4209
V 0.8809 0.3136 0.8008
V 0.9236 0.8080 0.4879
O 0.0629 0.4596 0.6735
O 0.1178 0.9427 0.3775
O 0.1579 0.4348 0.0542
O 0.2160 0.8932 0.7314
O 0.2905 0.3924 0.4448
O 0.3305 0.8506 0.1144
O 0.3897 0.3304 0.7780
O 0.3952 0.7728 0.4414
O 0.4880 0.2679 0.1685
O 0.5148 0.7369 0.8288
O 0.6132 0.2299 0.5578
O 0.6170 0.6836 0.2225
O 0.6792 0.1616 0.8907
O 0.7237 0.6225 0.5575
O 0.7830 0.0995 0.2631
O 0.8451 0.5691 0.9377
O 0.8895 0.0596 0.6218
O 0.9495 0.5539 0.3241

Peak list (10 most intense, 10° ≤ 2θ ≤ 90°, in order of falling intensity)
2θ 41.19, d = 2.192 Å, I 100
2θ 42.92, d = 2.107 Å, I 89
2θ 42.73, d = 2.116 Å, I 89
2θ 23.92, d = 3.720 Å, I 55
2θ 61.15, d = 1.516 Å, I 51
2θ 25.48, d = 3.496 Å, I 39
2θ 23.75, d = 3.746 Å, I 39
2θ 27.24, d = 3.273 Å, I 33
2θ 62.05, d = 1.496 Å, I 30
2θ 60.52, d = 1.530 Å, I 29

***

(6)
Computed XRD peak list of Li3Mn2O5 for a wavelength of 1.5418 Å, from a cell relaxed with GGA+U.
Peak positions follow from Bragg's law for the DFT cell and can differ from measured ones.

Structure:
abc: 7.8980 7.8980 8.1356
angles: 104.67 104.67 21.73
Positions (direct):
Li 0.0000 0.0000 0.0000
Li 0.0000 0.0000 0.5000
Li 0.1911 0.1911 0.0977
Li 0.4010 0.4010 0.7152
Li 0.5990 0.5990 0.2848
Li 0.8089 0.8089 0.9023
Mn 0.1967 0.1967 0.5962
Mn 0.4038 0.4038 0.1942
Mn 0.5962 0.5962 0.8058
Mn 0.8033 0.8033 0.4038
O 0.0125 0.0125 0.7582
O 0.1880 0.1880 0.8317
O 0.2013 0.2013 0.3622
O 0.3963 0.3963 0.9659
O 0.3984 0.3984 0.4375
O 0.6016 0.6016 0.5625
O 0.6037 0.6037 0.0341
O 0.7987 0.7987 0.6378
O 0.8120 0.8120 0.1683
O 0.9875 0.9875 0.2418

Peak list (10 most intense, 10° ≤ 2θ ≤ 90°, in order of falling intensity)
2θ 18.34, d = 4.837 Å, I 100
2θ 42.80, d = 2.113 Å, I 65
2θ 35.44, d = 2.533 Å, I 28
2θ 44.55, d = 2.034 Å, I 28
2θ 63.60, d = 1.463 Å, I 16
2θ 63.38, d = 1.468 Å, I 16
2θ 11.26, d = 7.861 Å, I 14
2θ 14.07, d = 6.295 Å, I 11
2θ 36.42, d = 2.467 Å, I 10
2θ 62.36, d = 1.489 Å, I 10